Entry 1:
# Sr3LaTaAl3O12
Theoretical powder XRD pattern, Cu Kα. Input: a DFT-relaxed cell (GGA-PBE, the Materials Project).

Cell and atoms:
Cell: 7.751 7.751 7.802 Å, 90.00 90.00 90.32°
Atoms (fractional coordinates):
Sr (0.000, 0.000, 0.238)
Sr (0.000, 0.000, 0.762)
Sr (0.000, 0.500, 0.238)
Sr (0.000, 0.500, 0.762)
Sr (0.500, 0.000, 0.238)
Sr (0.500, 0.000, 0.762)
La (0.500, 0.500, 0.236)
La (0.500, 0.500, 0.764)
Ta (0.247, 0.753, 0.500)
Ta (0.753, 0.247, 0.500)
Al (0.247, 0.247, 0.000)
Al (0.248, 0.752, 0.000)
Al (0.250, 0.250, 0.500)
Al (0.750, 0.750, 0.500)
Al (0.752, 0.248, 0.000)
Al (0.753, 0.753, 0.000)
O (0.001, 0.750, 0.000)
O (0.006, 0.251, 0.500)
O (0.250, 0.999, 0.000)
O (0.251, 0.006, 0.500)
O (0.254, 0.746, 0.245)
O (0.254, 0.746, 0.755)
O (0.255, 0.255, 0.250)
O (0.255, 0.255, 0.750)
O (0.255, 0.496, 0.500)
O (0.258, 0.501, 0.000)
O (0.496, 0.255, 0.500)
O (0.499, 0.742, 0.000)
O (0.501, 0.258, 0.000)
O (0.504, 0.745, 0.500)
O (0.742, 0.499, 0.000)
O (0.745, 0.504, 0.500)
O (0.745, 0.745, 0.250)
O (0.745, 0.745, 0.750)
O (0.746, 0.254, 0.245)
O (0.746, 0.254, 0.755)
O (0.749, 0.994, 0.500)
O (0.750, 0.001, 0.000)
O (0.994, 0.749, 0.500)
O (0.999, 0.250, 0.000)

Largest 10 diffraction maxima, most intense first, 10° ≤ 2θ ≤ 90°:
2θ = 32.6°, I = 100
2θ = 46.9°, I = 29
2θ = 58.1°, I = 23
2θ = 68.2°, I = 21
2θ = 32.8°, I = 20
2θ = 19.8°, I = 17
2θ = 58.4°, I = 16
2θ = 16.2°, I = 15
2θ = 46.6°, I = 14
2θ = 25.7°, I = 14



Entry 2:
# LaAl2Pd2
Theoretical powder XRD pattern, Cu Kα. Input: a DFT-relaxed cell (GGA-PBE, the Materials Project).

Cell and atoms:
Cell: 4.409 4.409 10.211 Å, 90.00 90.00 90.00°
Atoms (fractional coordinates):
La (0.250, 0.250, 0.249)
La (0.750, 0.750, 0.751)
Al (0.250, 0.250, 0.877)
Al (0.250, 0.750, 0.500)
Al (0.750, 0.250, 0.500)
Al (0.750, 0.750, 0.123)
Pd (0.250, 0.250, 0.630)
Pd (0.250, 0.750, 0.000)
Pd (0.750, 0.250, 0.000)
Pd (0.750, 0.750, 0.370)

Largest 10 diffraction maxima, most intense first, 10° ≤ 2θ ≤ 90°:
2θ = 33.7°, I = 100
2θ = 33.3°, I = 68
2θ = 40.9°, I = 63
2θ = 49.2°, I = 35
2θ = 53.7°, I = 35
2θ = 30.0°, I = 32
2θ = 65.8°, I = 25
2θ = 69.9°, I = 23
2θ = 59.3°, I = 21
2θ = 28.6°, I = 19



Entry 3:
# LaPrAl6
Theoretical powder XRD pattern, Cu Kα. Input: a DFT-relaxed cell (GGA-PBE, the Materials Project).

Cell and atoms:
Cell: 6.607 6.607 4.632 Å, 90.00 90.00 120.00°
Atoms (fractional coordinates):
La (0.000, 0.000, 0.000)
Pr (0.667, 0.333, 0.500)
Al (0.054, 0.527, 0.000)
Al (0.194, 0.388, 0.500)
Al (0.194, 0.806, 0.500)
Al (0.473, 0.527, 0.000)
Al (0.473, 0.946, 0.000)
Al (0.612, 0.806, 0.500)

Largest 10 diffraction maxima, most intense first, 10° ≤ 2θ ≤ 90°:
2θ = 36.9°, I = 100
2θ = 24.7°, I = 94
2θ = 27.0°, I = 48
2θ = 31.3°, I = 26
2θ = 46.3°, I = 22
2θ = 38.9°, I = 21
2θ = 61.8°, I = 21
2θ = 48.0°, I = 20
2θ = 15.5°, I = 18
2θ = 70.0°, I = 17



Entry 4:
# LaAl2Pt3
Theoretical powder XRD pattern, Cu Kα. Input: a DFT-relaxed cell (GGA-PBE, the Materials Project).

Cell and atoms:
Cell: 5.646 5.646 4.003 Å, 90.00 90.00 120.00°
Atoms (fractional coordinates):
La (0.000, 0.000, 0.000)
Al (0.333, 0.667, 0.000)
Al (0.667, 0.333, 0.000)
Pt (0.000, 0.500, 0.500)
Pt (0.500, 0.000, 0.500)
Pt (0.500, 0.500, 0.500)

Largest 10 diffraction maxima, most intense first, 10° ≤ 2θ ≤ 90°:
2θ = 36.8°, I = 100
2θ = 28.8°, I = 73
2θ = 43.4°, I = 59
2θ = 39.0°, I = 53
2θ = 59.7°, I = 50
2θ = 22.2°, I = 37
2θ = 54.7°, I = 25
2θ = 83.9°, I = 24
2θ = 45.3°, I = 23
2θ = 66.2°, I = 23



Entry 5:
# LaAlRh
Theoretical powder XRD pattern, Cu Kα. Input: a DFT-relaxed cell (GGA-PBE, the Materials Project).

Cell and atoms:
Cell: 7.298 4.308 16.240 Å, 90.00 90.00 90.00°
Atoms (fractional coordinates):
La (0.011, 0.250, 0.219)
La (0.152, 0.250, 0.439)
La (0.348, 0.750, 0.939)
La (0.489, 0.750, 0.719)
La (0.511, 0.250, 0.281)
La (0.652, 0.250, 0.061)
La (0.848, 0.750, 0.561)
La (0.989, 0.750, 0.781)
Al (0.007, 0.250, 0.940)
Al (0.160, 0.250, 0.649)
Al (0.340, 0.750, 0.149)
Al (0.493, 0.750, 0.440)
Al (0.507, 0.250, 0.560)
Al (0.660, 0.250, 0.851)
Al (0.840, 0.750, 0.351)
Al (0.993, 0.750, 0.060)
Rh (0.216, 0.250, 0.073)
Rh (0.221, 0.750, 0.320)
Rh (0.279, 0.250, 0.820)
Rh (0.284, 0.750, 0.573)
Rh (0.716, 0.250, 0.427)
Rh (0.721, 0.750, 0.180)
Rh (0.779, 0.250, 0.680)
Rh (0.784, 0.750, 0.927)

Largest 10 diffraction maxima, most intense first, 10° ≤ 2θ ≤ 90°:
2θ = 32.7°, I = 100
2θ = 36.3°, I = 92
2θ = 34.6°, I = 75
2θ = 41.9°, I = 52
2θ = 32.1°, I = 24
2θ = 29.2°, I = 23
2θ = 33.0°, I = 22
2θ = 21.3°, I = 22
2θ = 25.0°, I = 21
2θ = 26.8°, I = 20



Entry 6:
# La2Al9Rh3
Theoretical powder XRD pattern, Cu Kα. Input: a DFT-relaxed cell (GGA-PBE, the Materials Project).

Cell and atoms:
Cell: 7.662 7.662 9.660 Å, 90.00 90.00 60.71°
Atoms (fractional coordinates):
La (0.004, 0.670, 0.750)
La (0.330, 0.996, 0.750)
La (0.670, 0.004, 0.250)
La (0.996, 0.330, 0.250)
Al (0.005, 0.665, 0.073)
Al (0.005, 0.665, 0.427)
Al (0.131, 0.869, 0.250)
Al (0.335, 0.665, 0.546)
Al (0.335, 0.665, 0.954)
Al (0.335, 0.995, 0.073)
Al (0.335, 0.995, 0.427)
Al (0.339, 0.456, 0.250)
Al (0.456, 0.339, 0.750)
Al (0.544, 0.661, 0.250)
Al (0.661, 0.544, 0.750)
Al (0.665, 0.005, 0.573)
Al (0.665, 0.005, 0.927)
Al (0.665, 0.335, 0.046)
Al (0.665, 0.335, 0.454)
Al (0.869, 0.131, 0.750)
Al (0.995, 0.335, 0.573)
Al (0.995, 0.335, 0.927)
Rh (0.000, 0.000, 0.000)
Rh (0.000, 0.000, 0.500)
Rh (0.330, 0.330, 0.000)
Rh (0.330, 0.330, 0.500)
Rh (0.670, 0.670, 0.000)
Rh (0.670, 0.670, 0.500)

Largest 10 diffraction maxima, most intense first, 10° ≤ 2θ ≤ 90°:
2θ = 29.8°, I = 100
2θ = 40.5°, I = 91
2θ = 36.5°, I = 63
2θ = 29.6°, I = 50
2θ = 37.2°, I = 47
2θ = 25.0°, I = 44
2θ = 41.0°, I = 43
2θ = 56.2°, I = 41
2θ = 36.3°, I = 31
2θ = 51.3°, I = 30



Entry 7:
# LaAl10Ru2
Theoretical powder XRD pattern, Cu Kα. Input: a DFT-relaxed cell (GGA-PBE, the Materials Project).

Cell and atoms:
Cell: 6.908 6.908 9.238 Å, 90.00 90.00 96.87°
Atoms (fractional coordinates):
La (0.123, 0.877, 0.750)
La (0.877, 0.123, 0.250)
Al (0.138, 0.412, 0.750)
Al (0.161, 0.839, 0.101)
Al (0.161, 0.839, 0.399)
Al (0.223, 0.482, 0.250)
Al (0.229, 0.229, 0.000)
Al (0.229, 0.229, 0.500)
Al (0.377, 0.623, 0.548)
Al (0.377, 0.623, 0.952)
Al (0.412, 0.138, 0.250)
Al (0.482, 0.223, 0.750)
Al (0.518, 0.777, 0.250)
Al (0.588, 0.862, 0.750)
Al (0.623, 0.377, 0.048)
Al (0.623, 0.377, 0.452)
Al (0.771, 0.771, 0.000)
Al (0.771, 0.771, 0.500)
Al (0.777, 0.518, 0.750)
Al (0.839, 0.161, 0.601)
Al (0.839, 0.161, 0.899)
Al (0.862, 0.588, 0.250)
Ru (0.000, 0.500, 0.000)
Ru (0.000, 0.500, 0.500)
Ru (0.500, 0.000, 0.000)
Ru (0.500, 0.000, 0.500)

Largest 10 diffraction maxima, most intense first, 10° ≤ 2θ ≤ 90°:
2θ = 40.0°, I = 100
2θ = 39.3°, I = 82
2θ = 27.4°, I = 53
2θ = 17.2°, I = 38
2θ = 39.0°, I = 33
2θ = 33.9°, I = 27
2θ = 27.7°, I = 27
2θ = 36.3°, I = 26
2θ = 57.3°, I = 25
2θ = 57.1°, I = 24